[1]
Theoretical powder diffractogram
Compound: La4AlAg3
Radiation: Cu Kα X-rays
Structure: a DFT-relaxed cell (PBE, Alexandria)
Intensities are scaled so that the largest is 100.

Largest 12 diffraction maxima, sorted by position, 15° ≤ 2θ ≤ 90°:
- 2θ = 23.50°, rel. 16, (0 1 2)
- 2θ = 29.67°, rel. 21, (0 0 4)
- 2θ = 30.31°, rel. 100, (1 1 1)
- 2θ = 32.01°, rel. 44, (1 0 3)
- 2θ = 35.04°, rel. 41, (0 1 4)
- 2θ = 36.94°, rel. 34, (0 2 0)
- 2θ = 37.08°, rel. 48, (1 1 3)
- 2θ = 46.62°, rel. 17, (2 0 0)
- 2θ = 49.67°, rel. 26, (1 2 3)
- 2θ = 58.65°, rel. 17, (1 0 7)
- 2θ = 59.63°, rel. 17, (2 1 4)
- 2θ = 71.37°, rel. 18, (1 2 7)

a = 3.8965 Å, b = 4.8669 Å, c = 12.0445 Å
α = 90.00°, β = 90.00°, γ = 90.00°
Space group Pmm2 (No. 25)
Unique sites:
La 0.0000 0.0000 0.0000 x1
La 0.0000 0.5000 0.2930 x1
La 0.5000 0.0000 0.4996 x1
La 0.5000 0.5000 0.7985 x1
Al 0.0000 0.0000 0.7200 x1
Ag 0.0000 0.5000 0.5806 x1
Ag 0.5000 0.0000 0.2198 x1
Ag 0.5000 0.5000 0.0764 x1

[2]
Theoretical powder diffractogram
Compound: La4AlAg
Radiation: Cu Kα X-rays
Structure: a DFT-relaxed cell (PBE, Alexandria)
Intensities are scaled so that the largest is 100.

Largest 12 diffraction maxima, sorted by position, 15° ≤ 2θ ≤ 90°:
- 2θ = 24.13°, rel. 17, (1 0 1)
- 2θ = 28.77°, rel. 8, (0 0 4)
- 2θ = 31.69°, rel. 100, (1 0 3)
- 2θ = 32.79°, rel. 52, (1 1 0)
- 2θ = 44.17°, rel. 10, (1 1 4)
- 2θ = 47.05°, rel. 19, (2 0 0)
- 2θ = 55.74°, rel. 13, (1 1 6)
- 2θ = 57.16°, rel. 7, (1 0 7)
- 2θ = 57.84°, rel. 35, (2 1 3)
- 2θ = 66.20°, rel. 8, (2 0 6)
- 2θ = 77.67°, rel. 7, (3 0 3)
- 2θ = 78.27°, rel. 8, (3 1 0)

a = 3.8625 Å, b = 3.8625 Å, c = 12.4135 Å
α = 90.00°, β = 90.00°, γ = 90.00°
Space group P4/mmm (No. 123)
Unique sites:
La 0.0000 0.0000 0.1432 x2
La 0.5000 0.5000 0.3505 x2
Al 0.5000 0.5000 0.0000 x1
Ag 0.0000 0.0000 0.5000 x1

[3]
Theoretical powder diffractogram
Compound: LaAl2Ag8
Radiation: Cu Kα X-rays
Structure: a DFT-relaxed cell (PBE, Alexandria)
Intensities are scaled so that the largest is 100.

Largest 12 diffraction maxima, sorted by position, 15° ≤ 2θ ≤ 90°:
- 2θ = 18.84°, rel. 13, (1 0 1)
- 2θ = 20.74°, rel. 45, (0 0 2)
- 2θ = 31.34°, rel. 24, (0 0 3)
- 2θ = 31.73°, rel. 45, (2 0 0)
- 2θ = 33.46°, rel. 15, (2 0 1)
- 2θ = 38.22°, rel. 100, (2 0 2)
- 2θ = 45.20°, rel. 20, (2 0 3)
- 2θ = 45.49°, rel. 38, (2 2 0)
- 2θ = 50.49°, rel. 16, (2 2 2)
- 2θ = 56.29°, rel. 18, (2 2 3)
- 2θ = 63.56°, rel. 20, (2 0 5)
- 2θ = 79.18°, rel. 22, (4 2 2)

a = 5.6393 Å, b = 5.6393 Å, c = 8.5640 Å
α = 90.00°, β = 90.00°, γ = 90.00°
Space group P4/mmm (No. 123)
Unique sites:
La 0.0000 0.0000 0.0000 x1
Al 0.0000 0.5000 0.5000 x2
Ag 0.2529 0.2529 0.2917 x8